Record 1
The following is a calculated PXRD pattern of RbCdCl3. It was derived from DFT lattice parameters and positions (GGA-PBE), using Cu Ka.
Intensities are scaled so that the largest is 100.

Principal peaks in the range 2θ = 10–90°, sorted by position:
11.56 deg, intensity 27
15.05 deg, intensity 21
19.89 deg, intensity 37
20.13 deg, intensity 27
24.37 deg, intensity 52
25.19 deg, intensity 25
29.67 deg, intensity 61
30.77 deg, intensity 27
31.39 deg, intensity 100
36.55 deg, intensity 49
43.71 deg, intensity 36
43.96 deg, intensity 29

abc: 9.2123 4.1194 15.3126
angles: 90.00 90.00 90.00
Fractional coordinates of all 20 atoms:
Rb 0.0697 0.2500 0.1742
Rb 0.4303 0.7500 0.6742
Rb 0.5697 0.2500 0.3258
Rb 0.9303 0.7500 0.8258
Cd 0.1649 0.7500 0.4441
Cd 0.3351 0.2500 0.9441
Cd 0.6649 0.7500 0.0559
Cd 0.8351 0.2500 0.5559
Cl 0.0236 0.7500 0.5976
Cl 0.1737 0.7500 0.0038
Cl 0.2183 0.2500 0.7935
Cl 0.2817 0.7500 0.2935
Cl 0.3263 0.2500 0.5038
Cl 0.4764 0.2500 0.0976
Cl 0.5236 0.7500 0.9024
Cl 0.6737 0.7500 0.4962
Cl 0.7183 0.2500 0.7065
Cl 0.7817 0.7500 0.2065
Cl 0.8263 0.2500 0.9962
Cl 0.9764 0.2500 0.4024


Record 2
The following is a calculated PXRD pattern of Cr4CdCoS8. It was derived from DFT lattice parameters and positions (GGA-PBE), using Cu Ka.
Intensities are scaled so that the largest is 100.

Principal peaks in the range 2θ = 10–90°, sorted by position:
24.85 deg, intensity 49
29.23 deg, intensity 100
35.43 deg, intensity 24
43.76 deg, intensity 19
46.56 deg, intensity 49
50.97 deg, intensity 73
57.51 deg, intensity 7
59.84 deg, intensity 13
69.39 deg, intensity 11
71.50 deg, intensity 17
74.97 deg, intensity 10
82.41 deg, intensity 13

abc: 7.1665 7.1665 7.1665
angles: 60.00 60.00 60.00
Fractional coordinates of all 14 atoms:
Cr 0.1236 0.1236 0.1236
Cr 0.1236 0.1236 0.6291
Cr 0.1236 0.6291 0.1236
Cr 0.6291 0.1236 0.1236
Cd 0.5000 0.5000 0.5000
Co 0.7500 0.7500 0.7500
S 0.3540 0.8820 0.8820
S 0.3587 0.3587 0.3587
S 0.3587 0.3587 0.9240
S 0.3587 0.9240 0.3587
S 0.8820 0.3540 0.8820
S 0.8820 0.8820 0.3540
S 0.8820 0.8820 0.8820
S 0.9240 0.3587 0.3587


Record 3
The following is a calculated PXRD pattern of Dy4CdCo. It was derived from DFT lattice parameters and positions (GGA-PBE), using Cu Ka.
Intensities are scaled so that the largest is 100.

Principal peaks in the range 2θ = 10–90°, sorted by position:
29.00 deg, intensity 35
32.68 deg, intensity 62
34.73 deg, intensity 100
37.92 deg, intensity 26
52.35 deg, intensity 8
56.08 deg, intensity 14
58.33 deg, intensity 54
59.65 deg, intensity 13
69.70 deg, intensity 16
71.70 deg, intensity 8
87.13 deg, intensity 10
88.27 deg, intensity 16

abc: 9.4916 9.4916 9.4916
angles: 60.00 60.00 60.00
Fractional coordinates of all 24 atoms:
Dy 0.0616 0.0616 0.4384
Dy 0.0616 0.4384 0.0616
Dy 0.0616 0.4384 0.4384
Dy 0.1882 0.1882 0.8118
Dy 0.1882 0.8118 0.1882
Dy 0.1882 0.8118 0.8118
Dy 0.2109 0.5964 0.5964
Dy 0.4384 0.0616 0.0616
Dy 0.4384 0.0616 0.4384
Dy 0.4384 0.4384 0.0616
Dy 0.5964 0.2109 0.5964
Dy 0.5964 0.5964 0.2109
Dy 0.5964 0.5964 0.5964
Dy 0.8118 0.1882 0.1882
Dy 0.8118 0.1882 0.8118
Dy 0.8118 0.8118 0.1882
Cd 0.5084 0.8305 0.8305
Cd 0.8305 0.5084 0.8305
Cd 0.8305 0.8305 0.5084
Cd 0.8305 0.8305 0.8305
Co 0.3910 0.3910 0.3910
Co 0.3910 0.3910 0.8269
Co 0.3910 0.8269 0.3910
Co 0.8269 0.3910 0.3910